Starting from a DFT-relaxed cell (GGA-PBE, Alexandria), the X-ray powder pattern of Ta3Ru5 was calculated for Cu Kα.

Cell and atoms:
Cell: 7.0783 8.3534 4.1918 Å, 90.00 90.00 90.00°
Space group Cmmm (No. 65)
Unique sites:
Ta 0.0000 0.0000 0.0000 (multiplicity 2)
Ta 0.0000 0.2874 0.5000 (multiplicity 4)
Ru 0.0000 0.5000 0.0000 (multiplicity 2)
Ru 0.2181 0.0000 0.5000 (multiplicity 4)
Ru 0.2500 0.2500 0.0000 (multiplicity 4)

Principal peaks in the range 2θ from 10° to 90°, in order of rising 2θ:
index	2theta	d (Å)	intensity
1 3 0	34.6	2.591	8.8
2 2 1	39.7	2.270	100.0
0 0 2	43.2	2.096	21.8
0 4 0	43.3	2.088	16.0
4 0 0	51.7	1.770	11.4
0 4 2	62.8	1.479	10.5
4 0 2	69.5	1.352	9.6
2 2 3	76.8	1.241	14.2
4 4 2	85.6	1.135	8.1
6 2 1	89.4	1.096	7.9